Structure and theoretical powder diffraction line list of Er2MoC2 (DFT lattice parameters and positions (PBE); Cu Kα (λ = 1.5418 Å)).

The 8 most intense peaks (2θ = 15–90°), sorted by position:
| 2theta | I_rel |
| --- | --- |
| 32.36 | 100 |
| 32.58 | 23 |
| 33.64 | 48 |
| 35.17 | 19 |
| 35.47 | 43 |
| 38.54 | 21 |
| 53.38 | 16 |
| 61.74 | 16 |

Atomic structure:
```
Er2MoC2
1.0
6.606 0.000 0.000
0.000 5.061 0.000
0.000 0.000 9.910
Er Mo C
8 4 8
direct
0.046 0.250 0.222
0.173 0.250 0.561
0.327 0.750 0.061
0.454 0.750 0.722
0.546 0.250 0.278
0.673 0.250 0.939
0.827 0.750 0.439
0.954 0.750 0.778
0.207 0.250 0.873
0.293 0.750 0.373
0.707 0.250 0.627
0.793 0.750 0.127
0.064 0.750 0.243
0.174 0.750 0.556
0.326 0.250 0.056
0.436 0.250 0.743
0.564 0.750 0.257
0.674 0.750 0.944
0.826 0.250 0.444
0.936 0.250 0.757
```

Structure and theoretical powder diffraction line list of ErU2MoC4 (DFT lattice parameters and positions (PBE); Cu Kα (λ = 1.5418 Å)).

The 8 most intense peaks (2θ = 15–90°), sorted by position:
| 2theta | I_rel |
| --- | --- |
| 28.26 | 48 |
| 30.46 | 100 |
| 30.84 | 59 |
| 31.68 | 29 |
| 37.69 | 81 |
| 44.80 | 22 |
| 48.21 | 23 |
| 49.47 | 25 |

Atomic structure:
```
ErU2MoC4
1.0
1.798 -5.798 0.000
1.798 5.798 0.000
0.000 0.000 11.298
Er U Mo C
2 4 2 8
direct
0.136 0.864 0.750
0.864 0.136 0.250
0.374 0.626 0.542
0.374 0.626 0.958
0.626 0.374 0.042
0.626 0.374 0.458
0.127 0.873 0.250
0.873 0.127 0.750
0.000 0.000 0.000
0.000 0.000 0.500
0.254 0.746 0.119
0.254 0.746 0.381
0.465 0.535 0.750
0.535 0.465 0.250
0.746 0.254 0.619
0.746 0.254 0.881
```

Structure and theoretical powder diffraction line list of Er2C3N6 (DFT lattice parameters and positions (PBE); Cu Kα (λ = 1.5418 Å)).

The 8 most intense peaks (2θ = 15–90°), sorted by position:
| 2theta | I_rel |
| --- | --- |
| 17.10 | 100 |
| 24.49 | 64 |
| 25.11 | 58 |
| 28.93 | 39 |
| 29.62 | 81 |
| 36.08 | 55 |
| 42.26 | 37 |
| 51.22 | 39 |

Atomic structure:
```
Er2C3N6
1.0
7.135 -1.880 0.000
7.135 1.880 0.000
-0.559 0.000 5.186
Er C N
2 3 6
direct
0.134 0.134 0.069
0.866 0.866 0.931
0.000 0.000 0.500
0.329 0.329 0.407
0.671 0.671 0.593
0.012 0.012 0.737
0.310 0.310 0.167
0.344 0.344 0.641
0.656 0.656 0.359
0.690 0.690 0.833
0.988 0.988 0.263
```

> What is the formula in the first record?

Er2MoC2